Starting from the PBE geometry in Alexandria, the powder diffraction line list of LiMg2Zr was computed for λ = 1.5418 Å (Cu Kα).
Kinematic intensities with the Lorentz-polarization factor, no thermal factor.

Most intense lines, 2θ from 5° to 70°, by angle:
- 2θ = 8.32°, d 10.624, rel. 100.0
- 2θ = 16.69°, d 5.312, rel. 6.6
- 2θ = 25.15°, d 3.541, rel. 10.4
- 2θ = 33.64°, d 2.664, rel. 6.7
- 2θ = 33.75°, d 2.656, rel. 11.7
- 2θ = 34.10°, d 2.629, rel. 10.5
- 2θ = 35.35°, d 2.539, rel. 10.4
- 2θ = 35.82°, d 2.507, rel. 5.2
- 2θ = 36.54°, d 2.459, rel. 20.5
- 2θ = 38.95°, d 2.312, rel. 11.1
- 2θ = 39.56°, d 2.278, rel. 4.7
- 2θ = 40.81°, d 2.211, rel. 6.2

Crystal structure
```
LiMg2Zr
1.0
5.309 0.000 0.000
0.000 3.092 0.000
-1.608 0.000 10.624
Li Mg Zr
2 4 2
direct
0.000 0.000 0.000 Li
0.500 0.500 0.000 Li
0.078 0.500 0.758 Mg
0.420 0.000 0.244 Mg
0.578 0.000 0.758 Mg
0.920 0.500 0.244 Mg
0.160 0.000 0.501 Zr
0.660 0.500 0.501 Zr
```